(1)
The following is a simulated XRD peak list of ScCo2Si2. It was derived from a GGA-PBE-relaxed structure, using copper Kα.

Main lines, low angle first (15 to 90 degrees two-theta):
index	two_theta	I_rel
0 0 2	18.5	36
1 0 3	36.8	28
1 1 2	38.6	100
2 0 0	48.2	45
1 1 4	51.2	28
1 1 6	68.3	15
2 2 0	70.5	13
3 1 2	83.4	18

Atomic structure:
```
data_ScCo2Si2
_space_group_name_H-M_alt 'I 4/m m m'
_space_group_IT_number 139
_space_group_name_Hall '-I 4 2'
_cell_length_a 3.7762
_cell_length_b 3.7762
_cell_length_c 9.6064
_cell_angle_alpha 90.00
_cell_angle_beta 90.00
_cell_angle_gamma 90.00
loop_
_atom_site_label
_atom_site_fract_x
_atom_site_fract_y
_atom_site_fract_z
_atom_site_occupancy
Sc1 0.0000 0.0000 0.0000 1
Co1 0.0000 0.5000 0.2500 1
Si1 0.0000 0.0000 0.3761 1
```

---

(2)
The following is a simulated XRD peak list of Sc2Co3Si. It was derived from a GGA-PBE-relaxed structure, using copper Kα.

Main lines, low angle first (15 to 90 degrees two-theta):
index	two_theta	I_rel
0 0 2	23.8	12
2 0 0	41.6	11
1 0 3	41.8	30
2 0 1	43.4	100
2 0 2	48.5	10
2 1 3	68.4	10
2 2 0	75.8	13
2 0 5	77.5	14

Atomic structure:
```
data_Sc2Co3Si
_space_group_name_H-M_alt 'P 63/m m c'
_space_group_IT_number 194
_space_group_name_Hall '-P 6c 2c'
_cell_length_a 5.0183
_cell_length_b 5.0183
_cell_length_c 7.4734
_cell_angle_alpha 90.00
_cell_angle_beta 90.00
_cell_angle_gamma 120.00
loop_
_atom_site_label
_atom_site_fract_x
_atom_site_fract_y
_atom_site_fract_z
_atom_site_occupancy
Sc1 0.3333 0.6667 0.0609 1
Co1 0.1708 0.3417 0.7500 1
Si1 0.0000 0.0000 0.0000 1
```

---

(3)
The following is a simulated XRD peak list of Sc2Co3Si5. It was derived from a GGA-PBE-relaxed structure, using copper Kα.

Main lines, low angle first (15 to 90 degrees two-theta):
index	two_theta	I_rel
1 3 0	26.3	26
3 2 1	37.0	100
2 4 0	38.2	63
2 0 2	38.5	65
0 4 2	47.4	92
5 1 0	49.1	26
4 4 0	51.3	23
4 0 2	51.5	26

Atomic structure:
```
data_Sc2Co3Si5
_space_group_name_H-M_alt 'I b a m'
_space_group_IT_number 72
_space_group_name_Hall '-I 2 2c'
_cell_length_a 9.4104
_cell_length_b 10.8979
_cell_length_c 5.3926
_cell_angle_alpha 90.00
_cell_angle_beta 90.00
_cell_angle_gamma 90.00
loop_
_atom_site_label
_atom_site_fract_x
_atom_site_fract_y
_atom_site_fract_z
_atom_site_occupancy
Sc1 0.2327 0.1352 0.0000 1
Co1 0.0000 0.5000 0.2500 1
Co2 0.1099 0.1383 0.5000 1
Si1 0.0000 0.0000 0.2500 1
Si2 0.0000 0.2748 0.2500 1
Si3 0.1623 0.4008 0.0000 1
```

---

Question: Number 2 is which compound?
Answer: Sc2Co3Si